1.
Calculated X-ray powder pattern of Rb3HgCl6 for Cu Kα X-rays, from a cell relaxed with PBE.

Largest 8 diffraction maxima, by angle, 2θ from 10° to 90°:
- d 6.556, 13.51 deg, I = 26, (1 0 1)
- d 5.678, 15.61 deg, I = 27, (1 1 0)
- d 4.015, 22.14 deg, I = 100, (2 0 0)
- d 2.839, 31.51 deg, I = 61, (2 2 0)
- d 2.318, 38.85 deg, I = 46, (3 1 2)
- d 2.007, 45.17 deg, I = 42, (4 0 0)
- d 1.796, 50.85 deg, I = 24, (1 1 6)
- d 1.517, 61.07 deg, I = 27, (3 1 6)

Crystal structure
Lattice parameters (Å, degrees): 8.0334 8.0334 11.3453 90.00 90.00 90.00
Space group I4/mmm (No. 139)
Unique sites:
Rb 0.0000 0.0000 0.0000 (multiplicity 2)
Rb 0.0000 0.5000 0.2500 (multiplicity 4)
Hg 0.0000 0.0000 0.5000 (multiplicity 2)
Cl 0.0000 0.0000 0.2707 (multiplicity 4)
Cl 0.2297 0.2297 0.5000 (multiplicity 8)

=====

2.
Calculated X-ray powder pattern of La2Ga2Tc2C for Cu Kα X-rays, from a cell relaxed with PBE.

Largest 8 diffraction maxima, by angle, 2θ from 10° to 90°:
- d 2.966, 30.13 deg, I = 24, (2 0 1)
- d 2.858, 31.30 deg, I = 29, (1 1 1)
- d 2.735, 32.75 deg, I = 27, (4 0 -1)
- d 2.713, 33.02 deg, I = 82, (3 1 -1)
- d 2.679, 33.45 deg, I = 100, (1 1 -2)
- d 2.420, 37.15 deg, I = 35, (3 1 0)
- d 2.365, 38.05 deg, I = 40, (4 0 -3)
- d 1.969, 46.09 deg, I = 46, (0 2 0)

Crystal structure
Lattice parameters (Å, degrees): 11.2926 3.9376 7.6239 90.00 125.41 90.00
Space group C2/m (No. 12)
Unique sites:
La 0.0735 0.0000 0.2952 (multiplicity 4)
Ga 0.1396 0.5000 0.6783 (multiplicity 4)
Tc 0.1967 0.5000 0.0643 (multiplicity 4)
C 0.0000 0.5000 0.0000 (multiplicity 2)

=====

3.
Calculated X-ray powder pattern of La3Pm2Te8 for Cu Kα X-rays, from a cell relaxed with PBE.

Largest 8 diffraction maxima, by angle, 2θ from 10° to 90°:
- d 4.934, 17.98 deg, I = 34, (1 1 1)
- d 3.722, 23.91 deg, I = 56, (2 2 -1)
- d 2.964, 30.15 deg, I = 100, (4 2 -1)
- d 2.932, 30.49 deg, I = 48, (2 0 2)
- d 2.484, 36.17 deg, I = 31, (6 0 -2)
- d 2.478, 36.25 deg, I = 65, (4 2 1)
- d 2.282, 39.49 deg, I = 35, (0 4 0)
- d 2.262, 39.86 deg, I = 66, (2 2 -3)

Crystal structure
Lattice parameters (Å, degrees): 15.8441 9.1281 7.8124 90.00 109.63 90.00
Space group C2/m (No. 12)
Unique sites:
La 0.0000 0.0000 0.0000 (multiplicity 2)
La 0.0000 0.2619 0.5000 (multiplicity 4)
Pm 0.2463 0.5000 0.1611 (multiplicity 4)
Te 0.1206 0.5000 0.3938 (multiplicity 4)
Te 0.1225 0.0000 0.4279 (multiplicity 4)
Te 0.1253 0.2435 0.9175 (multiplicity 8)

=====

4.
Calculated X-ray powder pattern of Rb2MnRuI6 for Cu Kα X-rays, from a cell relaxed with PBE.

Largest 8 diffraction maxima, by angle, 2θ from 10° to 90°:
- d 5.668, 15.63 deg, I = 28, (1 1 0)
- d 3.272, 27.25 deg, I = 97, (2 0 2)
- d 2.834, 31.57 deg, I = 100, (2 2 0)
- d 2.004, 45.25 deg, I = 72, (4 0 0)
- d 1.709, 53.63 deg, I = 43, (4 2 2)
- d 1.636, 56.22 deg, I = 25, (4 0 4)
- d 1.267, 74.93 deg, I = 31, (6 2 0)
- d 1.157, 83.57 deg, I = 24, (6 2 4)

Crystal structure
Lattice parameters (Å, degrees): 8.0182 8.0182 11.3298 90.00 90.00 90.00
Space group I4/mmm (No. 139)
Unique sites:
Rb 0.0000 0.5000 0.2500 (multiplicity 4)
Mn 0.0000 0.0000 0.0000 (multiplicity 2)
Ru 0.0000 0.0000 0.5000 (multiplicity 2)
I 0.0000 0.0000 0.2561 (multiplicity 4)
I 0.2439 0.2439 0.5000 (multiplicity 8)

=====

5.
Calculated X-ray powder pattern of Tb6Tm for Cu Kα X-rays, from a cell relaxed with PBE.

Largest 8 diffraction maxima, by angle, 2θ from 10° to 90°:
- d 3.097, 28.83 deg, I = 100, (2 0 1)
- d 2.860, 31.27 deg, I = 78, (1 1 3)
- d 2.791, 32.07 deg, I = 65, (2 1 1)
- d 2.753, 32.53 deg, I = 28, (0 0 4)
- d 2.556, 35.10 deg, I = 76, (2 1 2)
- d 2.282, 39.49 deg, I = 27, (2 2 0)
- d 1.640, 56.10 deg, I = 53, (3 1 4)
- d 1.405, 66.54 deg, I = 27, (3 3 3)

Crystal structure
Lattice parameters (Å, degrees): 6.4543 6.4543 11.0112 90.00 90.00 90.00
Space group P4/nbm (No. 125, origin choice 2)
Unique sites:
Tb 0.0820 0.5820 0.1385 (multiplicity 8)
Tb 0.2500 0.2500 0.3616 (multiplicity 4)
Tm 0.2500 0.7500 0.5000 (multiplicity 2)

=====

6.
Calculated X-ray powder pattern of La5RhCl5 for Cu Kα X-rays, from a cell relaxed with PBE.

Largest 8 diffraction maxima, by angle, 2θ from 10° to 90°:
- d 7.980, 11.09 deg, I = 32, (0 0 1)
- d 3.439, 25.91 deg, I = 24, (1 1 -2)
- d 3.360, 26.53 deg, I = 22, (3 1 0)
- d 2.952, 30.28 deg, I = 100, (0 2 0)
- d 2.928, 30.54 deg, I = 44, (2 0 2)
- d 2.087, 43.35 deg, I = 36, (4 2 -2)
- d 2.078, 43.55 deg, I = 33, (2 2 2)
- d 1.680, 54.63 deg, I = 18, (6 2 0)

Crystal structure
Lattice parameters (Å, degrees): 13.0062 5.9017 8.4651 90.00 109.48 90.00
Space group C2/m (No. 12)
Unique sites:
La 0.0000 0.0000 0.0000 (multiplicity 2)
La 0.1562 0.5000 0.3106 (multiplicity 4)
La 0.1748 0.5000 0.8489 (multiplicity 4)
Rh 0.0000 0.5000 0.0000 (multiplicity 2)
Cl 0.0000 0.5000 0.5000 (multiplicity 2)
Cl 0.1531 0.0000 0.8027 (multiplicity 4)
Cl 0.1604 0.0000 0.3534 (multiplicity 4)

=====

7.
Calculated X-ray powder pattern of CaPm4Pr for Cu Kα X-rays, from a cell relaxed with PBE.

Largest 8 diffraction maxima, by angle, 2θ from 10° to 90°:
- d 3.520, 25.30 deg, I = 51, (1 0 1)
- d 3.124, 28.57 deg, I = 88, (0 2 2)
- d 3.030, 29.48 deg, I = 84, (0 0 6)
- d 2.983, 29.95 deg, I = 100, (1 1 2)
- d 2.684, 33.38 deg, I = 65, (0 2 4)
- d 2.593, 34.59 deg, I = 64, (1 1 4)
- d 2.263, 39.83 deg, I = 43, (1 2 3)
- d 1.846, 49.37 deg, I = 49, (1 3 2)

Crystal structure
Lattice parameters (Å, degrees): 3.5884 6.6542 18.1770 90.00 90.00 90.00
Space group Imm2 (No. 44)
Unique sites:
Ca 0.0000 0.0000 0.0000 (multiplicity 2)
Pm 0.0000 0.0000 0.5112 (multiplicity 2)
Pm 0.0000 0.2415 0.3385 (multiplicity 4)
Pm 0.0000 0.5000 0.1739 (multiplicity 2)
Pr 0.0000 0.5000 0.6833 (multiplicity 2)

=====

8.
Calculated X-ray powder pattern of CePmTmAg for Cu Kα X-rays, from a cell relaxed with PBE.

Largest 8 diffraction maxima, by angle, 2θ from 10° to 90°:
- d 4.372, 20.31 deg, I = 1, (1 1 1)
- d 3.786, 23.50 deg, I = 1, (2 0 0)
- d 2.677, 33.47 deg, I = 100, (2 2 0)
- d 1.893, 48.06 deg, I = 18, (4 0 0)
- d 1.546, 59.84 deg, I = 37, (4 2 2)
- d 1.339, 70.33 deg, I = 11, (4 4 0)
- d 1.197, 80.17 deg, I = 16, (6 2 0)
- d 1.093, 89.72 deg, I = 4, (4 4 4)

Crystal structure
Lattice parameters (Å, degrees): 7.5722 7.5722 7.5722 90.00 90.00 90.00
Space group F-43m (No. 216)
Unique sites:
Ce 0.0000 0.0000 0.0000 (multiplicity 4)
Pm 0.2500 0.2500 0.2500 (multiplicity 4)
Tm 0.0000 0.0000 0.5000 (multiplicity 4)
Ag 0.2500 0.2500 0.7500 (multiplicity 4)

=====

9.
Calculated X-ray powder pattern of HoNpPdO6 for Cu Kα X-rays, from a cell relaxed with PBE.

Largest 8 diffraction maxima, by angle, 2θ from 10° to 90°:
- d 5.008, 17.71 deg, I = 14, (0 0 2)
- d 4.210, 21.10 deg, I = 16, (1 0 1)
- d 3.404, 26.18 deg, I = 100, (1 0 2)
- d 2.679, 33.45 deg, I = 49, (1 1 0)
- d 2.105, 42.96 deg, I = 27, (2 0 2)
- d 1.829, 49.85 deg, I = 47, (1 1 4)
- d 1.655, 55.52 deg, I = 25, (2 1 2)
- d 1.547, 59.79 deg, I = 15, (3 0 0)

Crystal structure
Lattice parameters (Å, degrees): 5.3579 5.3579 10.0156 90.00 90.00 120.00
Space group P-31c (No. 163)
Unique sites:
Ho 0.0000 0.0000 0.0000 (multiplicity 2)
Np 0.3333 0.6667 0.2500 (multiplicity 2)
Pd 0.3333 0.6667 0.7500 (multiplicity 2)
O 0.0050 0.3466 0.1346 (multiplicity 12)

=====

10.
Calculated X-ray powder pattern of Pm2CdHg6 for Cu Kα X-rays, from a cell relaxed with PBE.

Largest 8 diffraction maxima, by angle, 2θ from 10° to 90°:
- d 3.413, 26.11 deg, I = 26, (2 0 1)
- d 2.708, 33.07 deg, I = 47, (3 1 0)
- d 2.700, 33.18 deg, I = 45, (2 2 1)
- d 2.670, 33.57 deg, I = 45, (1 1 2)
- d 2.539, 35.36 deg, I = 100, (1 3 -1)
- d 2.511, 35.76 deg, I = 49, (2 0 -2)
- d 1.852, 49.19 deg, I = 31, (2 4 1)
- d 1.455, 63.99 deg, I = 18, (3 3 -3)

Crystal structure
Lattice parameters (Å, degrees): 8.5453 8.8262 6.0248 90.00 92.46 90.00
Space group C2/m (No. 12)
Unique sites:
Pm 0.1747 0.0000 0.1788 (multiplicity 4)
Cd 0.0000 0.5000 0.5000 (multiplicity 2)
Hg 0.0000 0.3352 0.0000 (multiplicity 4)
Hg 0.1678 0.1663 0.6688 (multiplicity 8)

=====

11.
Calculated X-ray powder pattern of Hg4O for Cu Kα X-rays, from a cell relaxed with PBE.

Largest 8 diffraction maxima, by angle, 2θ from 10° to 90°:
- d 2.862, 31.25 deg, I = 100, (1 1 1)
- d 2.479, 36.24 deg, I = 55, (2 0 0)
- d 1.753, 52.18 deg, I = 40, (2 2 0)
- d 1.495, 62.09 deg, I = 44, (3 1 1)
- d 1.431, 65.18 deg, I = 14, (2 2 2)
- d 1.239, 76.92 deg, I = 6, (4 0 0)
- d 1.137, 85.34 deg, I = 19, (3 3 1)
- d 1.109, 88.12 deg, I = 19, (4 2 0)

Crystal structure
Lattice parameters (Å, degrees): 4.9578 4.9578 4.9578 90.00 90.00 90.00
Space group Pm-3m (No. 221)
Unique sites:
Hg 0.0000 0.0000 0.0000 (multiplicity 1)
Hg 0.0000 0.5000 0.5000 (multiplicity 3)
O 0.5000 0.5000 0.5000 (multiplicity 1)

=====

12.
Calculated X-ray powder pattern of PaZn3Pd for Cu Kα X-rays, from a cell relaxed with PBE.

Largest 8 diffraction maxima, by angle, 2θ from 10° to 90°:
- d 6.998, 12.65 deg, I = 19, (1 0 1)
- d 6.076, 14.58 deg, I = 26, (0 0 2)
- d 3.661, 24.31 deg, I = 23, (1 0 3)
- d 2.675, 33.49 deg, I = 32, (2 1 0)
- d 2.502, 35.89 deg, I = 65, (1 1 3)
- d 2.449, 36.70 deg, I = 100, (2 1 2)
- d 2.336, 38.54 deg, I = 40, (1 0 5)
- d 2.140, 42.23 deg, I = 21, (4 0 0)

Crystal structure
Lattice parameters (Å, degrees): 8.5593 3.4279 12.1522 90.00 90.00 90.00
Space group Pnma (No. 62)
Unique sites:
Pa 0.1337 0.2500 0.0154 (multiplicity 4)
Zn 0.0730 0.2500 0.4201 (multiplicity 4)
Zn 0.0865 0.7500 0.2382 (multiplicity 4)
Zn 0.1620 0.7500 0.7978 (multiplicity 4)
Pd 0.1538 0.2500 0.6289 (multiplicity 4)